(1)
Sm3Bi5O12: theoretical XRD peak list (Cu Kα (λ = 1.5418 Å)), based on a structure optimized by DFT (PBE).

Main lines, low angle first (2θ = 15–90°):
two_theta  intensity
27.73  100.0
27.84  99.8
32.19  75.6
46.06  26.1
46.20  39.4
54.84  23.6

Structure:
Cell lengths 9.608, 9.623, 9.638 Å; angles 109.43, 109.38, 109.34 degrees
Sites, in units of the cell vectors:
1 Sm 0.000 0.000 0.000
2 Sm 0.002 0.503 0.499
3 Sm 0.499 0.503 0.002
4 Sm 0.504 0.006 0.502
5 Sm 0.534 0.786 0.753
6 Sm 0.721 0.253 0.970
7 Bi 0.030 0.281 0.751
8 Bi 0.221 0.254 0.472
9 Bi 0.250 0.529 0.283
10 Bi 0.254 0.032 0.780
11 Bi 0.279 0.749 0.026
12 Bi 0.475 0.225 0.251
13 Bi 0.749 0.473 0.723
14 Bi 0.750 0.973 0.219
15 Bi 0.779 0.755 0.531
16 Bi 0.976 0.724 0.253
17 O 0.018 0.968 0.239
18 O 0.041 0.554 0.769
19 O 0.056 0.775 0.528
20 O 0.223 0.952 0.981
21 O 0.231 0.270 0.220
22 O 0.234 0.787 0.275
23 O 0.256 0.481 0.028
24 O 0.273 0.537 0.546
25 O 0.279 0.267 0.732
26 O 0.466 0.996 0.733
27 O 0.474 0.246 0.520
28 O 0.481 0.724 0.951
29 O 0.519 0.278 0.046
30 O 0.545 0.777 0.502
31 O 0.553 0.024 0.282
32 O 0.716 0.740 0.272
33 O 0.728 0.504 0.959
34 O 0.731 0.468 0.446
35 O 0.758 0.733 0.779
36 O 0.772 0.042 0.006
37 O 0.772 0.230 0.744
38 O 0.953 0.233 0.462
39 O 0.973 0.452 0.226
40 O 0.986 0.036 0.764

---

(2)
KCaAuSe2: theoretical XRD peak list (Cu Kα (λ = 1.5418 Å)), based on a structure optimized by DFT (PBE).

Main lines, low angle first (2θ = 15–90°):
two_theta  intensity
23.32  100.0
26.49  56.9
30.82  81.6
36.99  80.4
40.38  45.1
47.16  56.7

Structure:
Cell lengths 8.598, 8.598, 5.482 Å; angles 90.00, 90.00, 127.33 degrees
Sites, in units of the cell vectors:
1 K 0.250 0.750 0.791
2 K 0.750 0.250 0.209
3 Ca 0.250 0.250 0.500
4 Ca 0.750 0.750 0.500
5 Au 0.000 0.000 0.000
6 Au 0.500 0.500 0.000
7 Se 0.122 0.878 0.289
8 Se 0.378 0.622 0.289
9 Se 0.622 0.378 0.711
10 Se 0.878 0.122 0.711

---

(3)
Tm4Te3Ir: theoretical XRD peak list (Cu Kα (λ = 1.5418 Å)), based on a structure optimized by DFT (PBE).

Main lines, low angle first (2θ = 15–90°):
two_theta  intensity
29.25  50.0
29.56  100.0
41.10  16.3
42.07  69.0
43.46  19.0
53.25  18.9

Structure:
Cell lengths 7.522, 7.522, 4.165 Å; angles 90.00, 90.00, 108.54 degrees
Sites, in units of the cell vectors:
1 Tm 0.207 0.207 0.500
2 Tm 0.225 0.775 0.000
3 Tm 0.775 0.225 0.000
4 Tm 0.793 0.793 0.500
5 Te 0.000 0.500 0.500
6 Te 0.500 0.000 0.500
7 Te 0.500 0.500 0.000
8 Ir 0.000 0.000 0.000

---

(4)
La8Pr6Nd: theoretical XRD peak list (Cu Kα (λ = 1.5418 Å)), based on a structure optimized by DFT (PBE).

Main lines, low angle first (2θ = 15–90°):
two_theta  intensity
28.59  30.8
28.75  100.0
33.27  83.4
47.66  25.2
47.88  25.3
56.75  28.2

Structure:
Cell lengths 8.526, 8.526, 8.526 Å; angles 72.26, 72.26, 72.26 degrees
Sites, in units of the cell vectors:
1 La 0.051 0.868 0.373
2 La 0.132 0.627 0.949
3 La 0.240 0.240 0.240
4 La 0.373 0.051 0.868
5 La 0.627 0.949 0.132
6 La 0.760 0.760 0.760
7 La 0.868 0.373 0.051
8 La 0.949 0.132 0.627
9 Pr 0.173 0.437 0.616
10 Pr 0.384 0.827 0.563
11 Pr 0.437 0.616 0.173
12 Pr 0.563 0.384 0.827
13 Pr 0.616 0.173 0.437
14 Pr 0.827 0.563 0.384
15 Nd 0.000 0.000 0.000